The following is a calculated PXRD pattern of MnOF. It was derived from a PBE+U-relaxed structure, using Cu Kα (λ = 1.5418 Å).

Peak list (10 most intense, 5° ≤ 2θ ≤ 70°, by intensity)
- hkl 1 0 -2, 29.58°, intensity 100
- hkl -1 1 1, 23.84°, intensity 66
- hkl 1 1 1, 25.41°, intensity 49
- hkl 1 0 2, 30.75°, intensity 49
- hkl 1 2 0, 31.00°, intensity 47
- hkl 0 0 4, 52.97°, intensity 37
- hkl -2 3 1, 52.10°, intensity 24
- hkl 0 4 0, 53.18°, intensity 23
- hkl 2 0 -2, 40.02°, intensity 21
- hkl -2 1 3, 52.19°, intensity 20

Crystal structure
Unit cell a=5.7410 b=6.9315 c=6.9532 alpha=95.52 beta=92.09 gamma=92.84
Sites, in units of the cell vectors:
Mn 0.0000 0.0000 0.0000
Mn 0.0021 0.5239 0.5264
Mn 0.1928 0.0053 0.5181
Mn 0.2058 0.4734 0.0178
Mn 0.4951 0.2517 0.2697
Mn 0.5061 0.7606 0.7647
Mn 0.6445 0.7649 0.2468
Mn 0.7460 0.2623 0.7471
O 0.2313 0.7389 0.5842
O 0.2374 0.2084 0.0652
O 0.4409 0.9876 0.3316
O 0.4541 0.5171 0.2109
O 0.7294 0.8161 0.9755
O 0.7484 0.3168 0.4888
O 0.9630 0.0633 0.7291
O 0.9780 0.4606 0.7949
F 0.2275 0.2859 0.4825
F 0.2478 0.7619 0.9773
F 0.4893 0.0597 0.7282
F 0.4985 0.4610 0.7986
F 0.7224 0.7254 0.5410
F 0.7457 0.2299 0.0271
F 0.9466 0.9662 0.2809
F 0.9659 0.5672 0.2517